Record 1
Structure and computed XRD peak list of Al2Sn2Te (a cell relaxed with PBE; Cu Kα X-rays).
No peak broadening, texture or thermal motion is included.

Structural model:
Lattice parameters (Å, degrees): 8.866 8.866 3.172 90.00 90.00 90.00
Space group P4/mbm (No. 127)
Symmetry-distinct sites (fractional):
Al 0.127 0.373 0.000 x4
Sn 0.168 0.668 0.500 x4
Te 0.000 0.000 0.500 x2

Peak list (6 most intense, 10° ≤ 2θ ≤ 80°, in order of rising 2θ)
2θ/deg  d/Å  I (rel.)  h k l
22.42  3.965  64  2 1 0
28.13  3.172  46  0 0 1
28.48  3.134  33  2 2 0
31.92  2.804  100  3 1 0
36.27  2.477  94  2 1 1
43.06  2.101  56  3 1 1



Record 2
Structure and computed XRD peak list of Th7Al5Sn (a cell relaxed with PBE; Cu Kα X-rays).
No peak broadening, texture or thermal motion is included.

Structural model:
Lattice parameters (Å, degrees): 6.063 10.668 10.962 90.00 90.00 90.00
Space group Imm2 (No. 44)
Symmetry-distinct sites (fractional):
Th 0.000 0.000 0.000 x2
Th 0.000 0.000 0.389 x2
Th 0.000 0.327 0.591 x4
Th 0.000 0.334 0.078 x4
Th 0.000 0.500 0.324 x2
Al 0.000 0.500 0.831 x2
Al 0.239 0.248 0.840 x8
Sn 0.000 0.000 0.688 x2

Peak list (6 most intense, 10° ≤ 2θ ≤ 80°, in order of rising 2θ)
2θ/deg  d/Å  I (rel.)  h k l
23.27  3.823  43  0 2 2
29.11  3.067  81  1 3 0
29.47  3.031  70  2 0 0
33.48  2.677  100  1 3 2
36.96  2.432  52  1 1 4
37.88  2.375  44  2 2 2



Record 3
Structure and computed XRD peak list of Th4AlSn (a cell relaxed with PBE; Cu Kα X-rays).
No peak broadening, texture or thermal motion is included.

Structural model:
Lattice parameters (Å, degrees): 7.648 7.648 6.105 90.00 90.00 90.00
Space group P4/mcc (No. 124)
Symmetry-distinct sites (fractional):
Th 0.151 0.337 0.000 x8
Al 0.000 0.000 0.250 x2
Sn 0.500 0.500 0.250 x2

Peak list (6 most intense, 10° ≤ 2θ ≤ 80°, in order of rising 2θ)
2θ/deg  d/Å  I (rel.)  h k l
29.25  3.053  16  0 0 2
29.94  2.984  100  2 1 1
37.18  2.419  24  3 1 0
37.71  2.386  14  2 0 2
52.31  1.749  22  2 1 3
59.56  1.552  16  3 3 2



Record 4
Structure and computed XRD peak list of Ti4Al2Sn (a cell relaxed with PBE; Cu Kα X-rays).
No peak broadening, texture or thermal motion is included.

Structural model:
Lattice parameters (Å, degrees): 4.993 5.480 9.441 90.00 104.94 90.00
Space group P2_1/m (No. 11)
Symmetry-distinct sites (fractional):
Ti 0.160 0.004 0.281 x4
Ti 0.184 0.250 0.548 x2
Ti 0.338 0.750 0.850 x2
Al 0.082 0.250 0.009 x2
Al 0.354 0.750 0.558 x2
Sn 0.438 0.250 0.839 x2

Peak list (6 most intense, 10° ≤ 2θ ≤ 80°, in order of rising 2θ)
2θ/deg  d/Å  I (rel.)  h k l
35.97  2.496  64  2 0 -1
37.78  2.381  100  1 2 -1
38.87  2.317  64  1 0 3
39.10  2.304  70  1 0 -4
41.01  2.201  51  2 1 -2
44.49  2.036  64  0 2 3



Record 5
Structure and computed XRD peak list of Ti8Al3Sn2 (a cell relaxed with PBE; Cu Kα X-rays).
No peak broadening, texture or thermal motion is included.

Structural model:
Lattice parameters (Å, degrees): 8.731 14.352 4.072 90.00 90.00 90.00
Space group Cmmm (No. 65)
Symmetry-distinct sites (fractional):
Ti 0.000 0.099 0.000 x4
Ti 0.000 0.367 0.000 x4
Ti 0.240 0.375 0.500 x8
Al 0.000 0.500 0.500 x2
Al 0.230 0.500 0.000 x4
Sn 0.000 0.236 0.500 x4

Peak list (6 most intense, 10° ≤ 2θ ≤ 80°, in order of rising 2θ)
2θ/deg  d/Å  I (rel.)  h k l
12.33  7.176  15  0 2 0
23.86  3.730  25  2 2 0
25.15  3.542  31  0 2 1
39.32  2.291  100  2 4 1
41.37  2.183  23  4 0 0
44.50  2.036  19  0 0 2



Record 6
Structure and computed XRD peak list of Ti6Al2Sn (a cell relaxed with PBE; Cu Kα X-rays).
No peak broadening, texture or thermal motion is included.

Structural model:
Lattice parameters (Å, degrees): 8.101 8.267 9.647 90.00 90.00 90.00
Space group Immm (No. 71)
Symmetry-distinct sites (fractional):
Ti 0.000 0.218 0.178 x8
Ti 0.200 0.500 0.249 x8
Ti 0.208 0.203 0.500 x8
Al 0.000 0.000 0.371 x4
Al 0.155 0.000 0.000 x4
Sn 0.000 0.500 0.000 x2
Sn 0.000 0.500 0.500 x2

Peak list (6 most intense, 10° ≤ 2θ ≤ 80°, in order of rising 2θ)
2θ/deg  d/Å  I (rel.)  h k l
15.31  5.786  26  1 1 0
34.38  2.609  20  1 3 0
36.21  2.481  100  2 2 2
37.28  2.412  20  0 0 4
39.78  2.266  54  3 1 2
43.80  2.067  21  0 4 0



Record 7
Structure and computed XRD peak list of Ti6AlSn (a cell relaxed with PBE; Cu Kα X-rays).
No peak broadening, texture or thermal motion is included.

Structural model:
Lattice parameters (Å, degrees): 4.711 5.832 10.087 90.00 90.00 90.00
Space group Amm2 (No. 38)
Symmetry-distinct sites (fractional):
Ti 0.000 0.000 0.000 x2
Ti 0.000 0.247 0.752 x4
Ti 0.500 0.000 0.333 x2
Ti 0.500 0.248 0.085 x4
Al 0.500 0.000 0.835 x2
Sn 0.000 0.000 0.501 x2

Peak list (6 most intense, 10° ≤ 2θ ≤ 80°, in order of rising 2θ)
2θ/deg  d/Å  I (rel.)  h k l
17.57  5.047  19  0 0 2
35.57  2.524  27  0 0 4
38.21  2.355  26  2 0 0
40.55  2.225  100  1 2 2
70.65  1.333  18  3 2 2
76.95  1.239  18  2 4 0



Record 8
Structure and computed XRD peak list of Tm5Al2Sn2 (a cell relaxed with PBE; Cu Kα X-rays).
No peak broadening, texture or thermal motion is included.

Structural model:
Lattice parameters (Å, degrees): 15.352 7.937 7.807 90.00 90.00 90.00
Space group Cmce (No. 64)
Symmetry-distinct sites (fractional):
Tm 0.000 0.000 0.000 x4
Tm 0.135 0.177 0.325 x16
Al 0.000 0.119 0.620 x8
Sn 0.210 0.000 0.000 x8

Peak list (6 most intense, 10° ≤ 2θ ≤ 80°, in order of rising 2θ)
2θ/deg  d/Å  I (rel.)  h k l
25.17  3.538  75  0 2 1
30.94  2.890  89  3 1 2
32.17  2.783  90  0 2 2
32.45  2.759  100  4 2 0
32.72  2.737  94  4 0 2
34.48  2.601  86  4 2 1



Record 9
Structure and computed XRD peak list of Al3V7Sn (a cell relaxed with PBE; Cu Kα X-rays).
No peak broadening, texture or thermal motion is included.

Structural model:
Lattice parameters (Å, degrees): 4.155 13.888 11.437 90.00 90.00 90.00
Space group Cmcm (No. 63)
Symmetry-distinct sites (fractional):
Al 0.000 0.065 0.250 x4
Al 0.000 0.096 0.017 x8
V 0.000 0.250 0.250 x4
V 0.000 0.290 0.059 x8
V 0.000 0.336 0.643 x8
V 0.000 0.479 0.115 x8
Sn 0.000 0.131 0.750 x4

Peak list (6 most intense, 10° ≤ 2θ ≤ 80°, in order of rising 2θ)
2θ/deg  d/Å  I (rel.)  h k l
29.93  2.985  24  1 3 1
38.78  2.322  100  1 1 4
39.00  2.309  75  1 5 0
39.82  2.264  100  1 5 1
43.56  2.078  65  2 0 0
45.87  1.978  35  0 6 3



Record 10
Structure and computed XRD peak list of AlZnSn2 (a cell relaxed with PBE; Cu Kα X-rays).
No peak broadening, texture or thermal motion is included.

Structural model:
Lattice parameters (Å, degrees): 4.3606 4.3606 17.5725 90.00 90.00 120.00
Space group R3m (No. 160, hexagonal axes)
Symmetry-distinct sites (fractional):
Al 0.0000 0.0000 0.0000 x3
Zn 0.0000 0.0000 0.1602 x3
Sn 0.0000 0.0000 0.4120 x3
Sn 0.0000 0.0000 0.5823 x3

Peak list (6 most intense, 10° ≤ 2θ ≤ 80°, in order of rising 2θ)
2θ/deg  d/Å  I (rel.)  h k l
24.10  3.692  79  1 0 1
25.68  3.469  46  0 1 2
31.23  2.864  41  1 0 4
34.87  2.573  100  0 1 5
41.41  2.180  93  1 1 0
43.28  2.091  55  1 0 7



Record 11
Structure and computed XRD peak list of AlZn2Sn2 (a cell relaxed with PBE; Cu Kα X-rays).
No peak broadening, texture or thermal motion is included.

Structural model:
Lattice parameters (Å, degrees): 8.177 8.177 3.312 90.00 90.00 90.00
Space group P4/mbm (No. 127)
Symmetry-distinct sites (fractional):
Al 0.000 0.000 0.000 x2
Zn 0.113 0.387 0.500 x4
Sn 0.187 0.687 0.000 x4

Peak list (6 most intense, 10° ≤ 2θ ≤ 80°, in order of rising 2θ)
2θ/deg  d/Å  I (rel.)  h k l
15.32  5.782  26  1 1 0
21.74  4.088  21  2 0 0
34.69  2.586  27  3 1 0
34.86  2.573  24  2 0 1
36.61  2.455  100  2 1 1
45.75  1.983  27  4 1 0



Record 12
Structure and computed XRD peak list of Zr4AlSn (a cell relaxed with PBE; Cu Kα X-rays).
No peak broadening, texture or thermal motion is included.

Structural model:
Lattice parameters (Å, degrees): 6.861 6.861 5.622 90.00 90.00 90.00
Space group P4/mcc (No. 124)
Symmetry-distinct sites (fractional):
Zr 0.144 0.342 0.000 x8
Al 0.000 0.000 0.250 x2
Sn 0.500 0.500 0.250 x2

Peak list (6 most intense, 10° ≤ 2θ ≤ 80°, in order of rising 2θ)
2θ/deg  d/Å  I (rel.)  h k l
33.26  2.693  100  2 1 1
36.96  2.432  35  1 1 2
41.59  2.171  65  3 1 0
57.64  1.599  20  2 1 3
63.54  1.464  18  4 0 2
66.73  1.402  18  3 3 2